Structure and theoretical PXRD pattern of PRu2C (DFT lattice parameters and positions (PBE); Cu Ka).
Intensities are scaled so that the largest is 100.

Most intense lines, 2θ = 10–90°, in order of rising 2θ:
d_spacing, 2θ/deg, Rel. int., (hkl)
2.813, 31.81, 100, 1 1 2
2.486, 36.13, 18, 2 0 0
2.164, 41.75, 14, 2 1 1
1.758, 52.03, 14, 2 2 0
1.706, 53.73, 27, 2 0 4
1.491, 62.28, 18, 3 1 2

Structural model:
Cell: 4.9722 4.9722 9.3812 Å, 90.00 90.00 90.00°
Fractional positions:
P1 0.0000 0.0000 0.0000
P2 0.0000 0.5000 0.2500
P3 0.5000 0.0000 0.7500
P4 0.5000 0.5000 0.5000
Ru1 0.1988 0.2500 0.6250
Ru2 0.2500 0.6988 0.8750
Ru3 0.2500 0.8012 0.3750
Ru4 0.3012 0.2500 0.1250
Ru5 0.6988 0.7500 0.1250
Ru6 0.7500 0.1988 0.3750
Ru7 0.7500 0.3012 0.8750
Ru8 0.8012 0.7500 0.6250
C1 0.0000 0.0000 0.5000
C2 0.0000 0.5000 0.7500
C3 0.5000 0.0000 0.2500
C4 0.5000 0.5000 0.0000